(1)
For TmAlMo, a DFT-relaxed cell (GGA-PBE, Alexandria) gives the theoretical powder diffraction line list in this record (Cu Kα (weighted mean of Kα1 and Kα2)).
Kinematic intensities with the Lorentz-polarization factor, no thermal factor.

Main lines, sorted by position (10 to 80 degrees two-theta):
| 2theta | intensity | index |
| --- | --- | --- |
| 20.1 | 53 | 1 0 1 |
| 32.2 | 53 | 0 2 0 |
| 32.5 | 100 | 1 1 2 |
| 38.0 | 62 | 0 1 3 |
| 38.3 | 72 | 1 2 1 |
| 39.1 | 97 | 2 1 1 |
| 57.6 | 20 | 1 3 2 |
| 61.3 | 25 | 0 3 3 |
| 62.1 | 25 | 2 3 1 |
| 68.2 | 35 | 2 2 4 |

Structure:
```
data_TmAlMo
_chemical_formula_sum 'Tm4 Al4 Mo4'
_cell_length_a 5.3479
_cell_length_b 5.5590
_cell_length_c 7.8568
_cell_angle_alpha 90.00
_cell_angle_beta 90.00
_cell_angle_gamma 90.00
_symmetry_space_group_name_H-M 'I m m a'
_symmetry_Int_Tables_number 74
_symmetry_space_group_name_Hall '-I 2b 2'
loop_
_atom_site_label
_atom_site_type_symbol
_atom_site_fract_x
_atom_site_fract_y
_atom_site_fract_z
_atom_site_occupancy
Tm1 Tm 0.0000 0.2500 0.1185 1
Al1 Al 0.0000 0.0000 0.5000 1
Mo1 Mo 0.2500 0.2500 0.7500 1
```

***

(2)
For Al4V3Mo, a DFT-relaxed cell (GGA-PBE, Alexandria) gives the theoretical powder diffraction line list in this record (Cu Kα (weighted mean of Kα1 and Kα2)).
Kinematic intensities with the Lorentz-polarization factor, no thermal factor.

Main lines, sorted by position (10 to 80 degrees two-theta):
| 2theta | intensity | index |
| --- | --- | --- |
| 19.7 | 44 | 1 0 1 |
| 25.7 | 12 | 1 1 1 |
| 38.8 | 15 | 1 2 1 |
| 40.1 | 100 | 2 0 2 |
| 40.3 | 99 | 2 2 0 |
| 45.7 | 34 | 4 0 0 |
| 47.3 | 61 | 0 2 2 |
| 67.8 | 39 | 4 2 2 |
| 68.9 | 9 | 0 0 4 |
| 69.3 | 9 | 0 4 0 |

Structure:
```
data_Al4V3Mo
_chemical_formula_sum 'Al8 V6 Mo2'
_cell_length_a 7.9462
_cell_length_b 5.4222
_cell_length_c 5.4530
_cell_angle_alpha 90.00
_cell_angle_beta 90.00
_cell_angle_gamma 90.00
_symmetry_space_group_name_H-M 'P m n a'
_symmetry_Int_Tables_number 53
_symmetry_space_group_name_Hall '-P 2ac 2'
loop_
_atom_site_label
_atom_site_type_symbol
_atom_site_fract_x
_atom_site_fract_y
_atom_site_fract_z
_atom_site_occupancy
Al1 Al 0.0000 0.0000 0.0000 1
Al2 Al 0.0000 0.5000 0.0000 1
Al3 Al 0.2500 0.2470 0.2500 1
V1 V 0.0000 0.0000 0.5000 1
V2 V 0.2500 0.2483 0.7500 1
Mo1 Mo 0.0000 0.5000 0.5000 1
```

***

Repeat the second record exactly.
For Al4V3Mo, a DFT-relaxed cell (GGA-PBE, Alexandria) gives the theoretical powder diffraction line list in this record (Cu Kα (weighted mean of Kα1 and Kα2)).
Kinematic intensities with the Lorentz-polarization factor, no thermal factor.

Main lines, sorted by position (10 to 80 degrees two-theta):
| 2theta | intensity | index |
| --- | --- | --- |
| 19.7 | 44 | 1 0 1 |
| 25.7 | 12 | 1 1 1 |
| 38.8 | 15 | 1 2 1 |
| 40.1 | 100 | 2 0 2 |
| 40.3 | 99 | 2 2 0 |
| 45.7 | 34 | 4 0 0 |
| 47.3 | 61 | 0 2 2 |
| 67.8 | 39 | 4 2 2 |
| 68.9 | 9 | 0 0 4 |
| 69.3 | 9 | 0 4 0 |

Structure:
```
data_Al4V3Mo
_chemical_formula_sum 'Al8 V6 Mo2'
_cell_length_a 7.9462
_cell_length_b 5.4222
_cell_length_c 5.4530
_cell_angle_alpha 90.00
_cell_angle_beta 90.00
_cell_angle_gamma 90.00
_symmetry_space_group_name_H-M 'P m n a'
_symmetry_Int_Tables_number 53
_symmetry_space_group_name_Hall '-P 2ac 2'
loop_
_atom_site_label
_atom_site_type_symbol
_atom_site_fract_x
_atom_site_fract_y
_atom_site_fract_z
_atom_site_occupancy
Al1 Al 0.0000 0.0000 0.0000 1
Al2 Al 0.0000 0.5000 0.0000 1
Al3 Al 0.2500 0.2470 0.2500 1
V1 V 0.0000 0.0000 0.5000 1
V2 V 0.2500 0.2483 0.7500 1
Mo1 Mo 0.0000 0.5000 0.5000 1
```

***

Copy entry 2 word for word.
For Al4V3Mo, a DFT-relaxed cell (GGA-PBE, Alexandria) gives the theoretical powder diffraction line list in this record (Cu Kα (weighted mean of Kα1 and Kα2)).
Kinematic intensities with the Lorentz-polarization factor, no thermal factor.

Main lines, sorted by position (10 to 80 degrees two-theta):
| 2theta | intensity | index |
| --- | --- | --- |
| 19.7 | 44 | 1 0 1 |
| 25.7 | 12 | 1 1 1 |
| 38.8 | 15 | 1 2 1 |
| 40.1 | 100 | 2 0 2 |
| 40.3 | 99 | 2 2 0 |
| 45.7 | 34 | 4 0 0 |
| 47.3 | 61 | 0 2 2 |
| 67.8 | 39 | 4 2 2 |
| 68.9 | 9 | 0 0 4 |
| 69.3 | 9 | 0 4 0 |

Structure:
```
data_Al4V3Mo
_chemical_formula_sum 'Al8 V6 Mo2'
_cell_length_a 7.9462
_cell_length_b 5.4222
_cell_length_c 5.4530
_cell_angle_alpha 90.00
_cell_angle_beta 90.00
_cell_angle_gamma 90.00
_symmetry_space_group_name_H-M 'P m n a'
_symmetry_Int_Tables_number 53
_symmetry_space_group_name_Hall '-P 2ac 2'
loop_
_atom_site_label
_atom_site_type_symbol
_atom_site_fract_x
_atom_site_fract_y
_atom_site_fract_z
_atom_site_occupancy
Al1 Al 0.0000 0.0000 0.0000 1
Al2 Al 0.0000 0.5000 0.0000 1
Al3 Al 0.2500 0.2470 0.2500 1
V1 V 0.0000 0.0000 0.5000 1
V2 V 0.2500 0.2483 0.7500 1
Mo1 Mo 0.0000 0.5000 0.5000 1
```

***

Copy entry 2 word for word.
For Al4V3Mo, a DFT-relaxed cell (GGA-PBE, Alexandria) gives the theoretical powder diffraction line list in this record (Cu Kα (weighted mean of Kα1 and Kα2)).
Kinematic intensities with the Lorentz-polarization factor, no thermal factor.

Main lines, sorted by position (10 to 80 degrees two-theta):
| 2theta | intensity | index |
| --- | --- | --- |
| 19.7 | 44 | 1 0 1 |
| 25.7 | 12 | 1 1 1 |
| 38.8 | 15 | 1 2 1 |
| 40.1 | 100 | 2 0 2 |
| 40.3 | 99 | 2 2 0 |
| 45.7 | 34 | 4 0 0 |
| 47.3 | 61 | 0 2 2 |
| 67.8 | 39 | 4 2 2 |
| 68.9 | 9 | 0 0 4 |
| 69.3 | 9 | 0 4 0 |

Structure:
```
data_Al4V3Mo
_chemical_formula_sum 'Al8 V6 Mo2'
_cell_length_a 7.9462
_cell_length_b 5.4222
_cell_length_c 5.4530
_cell_angle_alpha 90.00
_cell_angle_beta 90.00
_cell_angle_gamma 90.00
_symmetry_space_group_name_H-M 'P m n a'
_symmetry_Int_Tables_number 53
_symmetry_space_group_name_Hall '-P 2ac 2'
loop_
_atom_site_label
_atom_site_type_symbol
_atom_site_fract_x
_atom_site_fract_y
_atom_site_fract_z
_atom_site_occupancy
Al1 Al 0.0000 0.0000 0.0000 1
Al2 Al 0.0000 0.5000 0.0000 1
Al3 Al 0.2500 0.2470 0.2500 1
V1 V 0.0000 0.0000 0.5000 1
V2 V 0.2500 0.2483 0.7500 1
Mo1 Mo 0.0000 0.5000 0.5000 1
```